Entry 1:
For Ba3Y, DFT lattice parameters and positions (GGA-PBE) gives the computed PXRD pattern in this record (Cu Kα, 1.54184 Å).
Neutral-atom scattering factors, no anomalous dispersion.

Cell and atoms:
a b c (Å): 4.1586 4.1586 13.6758
angles (deg): 90.00 90.00 120.00
Space group P-6m2 (No. 187)
One atom of each set of equivalent atoms:
Ba  0.0000  0.0000  0.0000
Ba  0.3333  0.6667  0.2729
Y  0.0000  0.0000  0.5000

Top 8 peaks for 10° ≤ 2θ ≤ 90°, low angle first:
2θ/deg, Rel. int., (hkl)
24.7, 24, 1 0 0
26.1, 23, 0 0 4
28.0, 100, 1 0 2
36.2, 15, 1 0 4
43.5, 21, 1 1 0
47.2, 16, 1 0 6
51.4, 21, 1 1 4
52.6, 17, 2 0 2

=====

Entry 2:
For Sm3ScHg6, DFT lattice parameters and positions (GGA-PBE) gives the computed PXRD pattern in this record (Cu Kα, 1.54184 Å).
Neutral-atom scattering factors, no anomalous dispersion.

Cell and atoms:
a b c (Å): 9.192 5.151 11.200
angles (deg): 90.00 107.67 90.00
Space group P2_1/m (No. 11)
One atom of each set of equivalent atoms:
Sm  0.016  0.250  0.386
Sm  0.151  0.750  0.220
Sm  0.274  0.250  0.992
Sc  0.443  0.250  0.590
Hg  0.029  0.750  0.916
Hg  0.176  0.250  0.693
Hg  0.272  0.750  0.513
Hg  0.347  0.750  0.830
Hg  0.365  0.250  0.309
Hg  0.447  0.750  0.133

Top 8 peaks for 10° ≤ 2θ ≤ 90°, low angle first:
2θ/deg, Rel. int., (hkl)
33.6, 45, 2 0 -4
34.1, 100, 3 1 -1
34.7, 96, 1 1 3
34.8, 56, 0 2 0
49.2, 31, 2 2 -4
49.6, 16, 4 0 2
62.0, 39, 3 3 -1
62.3, 18, 1 3 3

=====

Entry 3:
For Rb3AsI8, DFT lattice parameters and positions (GGA-PBE) gives the computed PXRD pattern in this record (Cu Kα, 1.54184 Å).
Neutral-atom scattering factors, no anomalous dispersion.

Cell and atoms:
a b c (Å): 8.123 8.123 17.423
angles (deg): 90.00 90.00 90.00
Space group I4/mmm (No. 139)
One atom of each set of equivalent atoms:
Rb  0.000  0.000  0.000
Rb  0.000  0.500  0.250
As  0.000  0.000  0.500
I  0.223  0.223  0.391

Top 8 peaks for 10° ≤ 2θ ≤ 90°, low angle first:
2θ/deg, Rel. int., (hkl)
18.5, 27, 1 1 2
20.4, 16, 0 0 4
21.9, 28, 2 0 0
30.1, 100, 2 0 4
31.1, 47, 2 2 0
44.6, 14, 4 0 0
52.8, 13, 2 2 8
54.8, 25, 4 2 4